Theoretical PXRD pattern of Ac12ThPb7 for CuKα, from a crystal structure in Alexandria, relaxed with PBE.
No peak broadening, texture or thermal motion is included.

Cell and atoms:
```
Ac12ThPb7
1.0
8.4585 4.8835 3.2004
-8.4585 4.8835 3.2004
0.0000 -9.7670 3.2004
Ac Th Pb
12 1 7
Direct
0.0000 0.2721 0.7279
0.0000 0.7279 0.2721
0.1677 0.4933 0.4933
0.2721 0.0000 0.7279
0.2721 0.7279 0.0000
0.4933 0.1677 0.4933
0.4933 0.4933 0.1677
0.5067 0.5067 0.8323
0.5067 0.8323 0.5067
0.7279 0.0000 0.2721
0.7279 0.2721 0.0000
0.8323 0.5067 0.5067
0.0000 0.0000 0.0000
0.1322 0.1322 0.4291
0.1322 0.4291 0.1322
0.4291 0.1322 0.1322
0.5000 0.5000 0.5000
0.5709 0.8678 0.8678
0.8678 0.5709 0.8678
0.8678 0.8678 0.5709
```

Main lines, sorted by position (10 to 80 degrees two-theta):
2θ (°)	I (rel.)
22.1	140
26.0	499
28.1	149
28.8	1000
31.7	638
33.5	548
42.8	195
46.8	176
47.4	304
57.7	192



Theoretical PXRD pattern of Ac3ThPb3 for CuKα, from a crystal structure in Alexandria, relaxed with PBE.
No peak broadening, texture or thermal motion is included.

Cell and atoms:
```
Ac3ThPb3
1.0
4.6055 -6.9073 0.0000
4.6055 6.9073 0.0000
-0.5509 0.0000 8.9477
Ac Th Pb
6 2 6
Direct
0.1604 0.8396 0.0000
0.2346 0.7654 0.5000
0.4076 0.4076 0.1735
0.5924 0.5924 0.8265
0.7654 0.2346 0.5000
0.8396 0.1604 0.0000
0.2389 0.2389 0.5966
0.7611 0.7611 0.4034
0.0748 0.0748 0.2815
0.1234 0.4876 0.7942
0.4876 0.1234 0.7942
0.5124 0.8766 0.2058
0.8766 0.5124 0.2058
0.9252 0.9252 0.7185
```

Main lines, sorted by position (10 to 80 degrees two-theta):
2θ (°)	I (rel.)
24.0	387
25.8	390
27.7	137
29.9	1000
30.9	276
32.8	188
35.2	178
37.7	143
39.1	158
44.9	183



Theoretical PXRD pattern of Ac6Tl4Pb7 for CuKα, from a crystal structure in Alexandria, relaxed with PBE.
No peak broadening, texture or thermal motion is included.

Cell and atoms:
```
Ac6Tl4Pb7
1.0
-5.3846 5.3846 5.3846
5.3846 -5.3846 5.3846
5.3846 5.3846 -5.3846
Ac Tl Pb
6 4 7
Direct
0.0000 0.2985 0.2985
0.0000 0.7015 0.7015
0.2985 0.0000 0.2985
0.2985 0.2985 0.0000
0.7015 0.0000 0.7015
0.7015 0.7015 0.0000
0.0000 0.0000 0.5000
0.0000 0.5000 0.0000
0.5000 0.0000 0.0000
0.5000 0.5000 0.5000
0.0000 0.0000 0.0000
0.2500 0.5000 0.7500
0.2500 0.7500 0.5000
0.5000 0.2500 0.7500
0.5000 0.7500 0.2500
0.7500 0.2500 0.5000
0.7500 0.5000 0.2500
```

Main lines, sorted by position (10 to 80 degrees two-theta):
2θ (°)	I (rel.)
28.7	1000
31.1	128
33.3	650
35.4	111
39.2	142
47.8	402
56.7	326
59.5	115
63.5	115
79.6	132